# 1
For K2TlPCO7, a DFT-relaxed cell (PBE, the Materials Project) gives the computed X-ray powder pattern in this record (CuKα).
No peak broadening, texture or thermal motion is included.

Most intense lines, 2θ from 10° to 90°, sorted by position:
| two_theta | I/Imax |
| --- | --- |
| 15.12 | 100 |
| 20.02 | 94 |
| 21.68 | 33 |
| 23.67 | 45 |
| 24.20 | 61 |
| 24.55 | 42 |
| 30.59 | 62 |
| 30.82 | 43 |
| 31.94 | 44 |
| 33.46 | 39 |

Cell and atoms:
Lattice parameters (Å, degrees): 5.605 7.253 9.941 90.00 91.25 90.00
Space group P2_1/m (No. 11)
Inequivalent atoms, fractional coordinates:
K 0.240 0.017 0.226 [4 per cell]
Tl 0.230 0.250 0.630 [2 per cell]
P 0.285 0.750 0.575 [2 per cell]
C 0.272 0.250 0.906 [2 per cell]
O 0.062 0.250 0.844 [2 per cell]
O 0.168 0.750 0.430 [2 per cell]
O 0.215 0.576 0.656 [4 per cell]
O 0.297 0.250 0.032 [2 per cell]
O 0.433 0.250 0.442 [2 per cell]
O 0.459 0.250 0.826 [2 per cell]

---

# 2
For TePd, a DFT-relaxed cell (PBE, the Materials Project) gives the computed X-ray powder pattern in this record (CuKα).
No peak broadening, texture or thermal motion is included.

Most intense lines, 2θ from 10° to 90°, sorted by position:
| two_theta | I/Imax |
| --- | --- |
| 24.40 | 14 |
| 28.99 | 95 |
| 39.93 | 100 |
| 42.95 | 75 |
| 52.65 | 18 |
| 54.05 | 17 |
| 60.08 | 30 |
| 70.20 | 15 |
| 76.65 | 29 |
| 80.98 | 23 |

Cell and atoms:
Lattice parameters (Å, degrees): 4.2119 4.2119 5.7502 90.00 90.00 120.00
Space group P6_3/mmc (No. 194)
Inequivalent atoms, fractional coordinates:
Te 0.3333 0.6667 0.2500 [2 per cell]
Pd 0.0000 0.0000 0.0000 [2 per cell]

---

# 3
For Nb6C5, a DFT-relaxed cell (PBE, the Materials Project) gives the computed X-ray powder pattern in this record (CuKα).
No peak broadening, texture or thermal motion is included.

Most intense lines, 2θ from 10° to 90°, sorted by position:
| two_theta | I/Imax |
| --- | --- |
| 34.53 | 100 |
| 39.98 | 23 |
| 40.13 | 47 |
| 57.94 | 29 |
| 58.05 | 15 |
| 69.10 | 9 |
| 69.32 | 25 |
| 72.78 | 10 |
| 72.90 | 4 |
| 86.65 | 4 |

Cell and atoms:
Lattice parameters (Å, degrees): 5.521 9.537 5.512 90.00 109.68 90.00
Space group C2/m (No. 12)
Inequivalent atoms, fractional coordinates:
Nb 0.236 0.000 0.264 [4 per cell]
Nb 0.240 0.177 0.746 [8 per cell]
C 0.000 0.000 0.500 [2 per cell]
C 0.000 0.165 0.000 [4 per cell]
C 0.000 0.333 0.500 [4 per cell]

---

# 4
For Ta3Re3B4, a DFT-relaxed cell (PBE, the Materials Project) gives the computed X-ray powder pattern in this record (CuKα).
No peak broadening, texture or thermal motion is included.

Most intense lines, 2θ from 10° to 90°, sorted by position:
| two_theta | I/Imax |
| --- | --- |
| 31.30 | 65 |
| 32.73 | 71 |
| 35.30 | 67 |
| 35.95 | 52 |
| 41.24 | 100 |
| 43.27 | 65 |
| 44.37 | 73 |
| 45.12 | 59 |
| 46.71 | 41 |
| 67.25 | 36 |

Cell and atoms:
Lattice parameters (Å, degrees): 3.068 8.607 9.089 90.00 90.00 90.00
Space group Amm2 (No. 38)
Inequivalent atoms, fractional coordinates:
Ta 0.000 0.000 0.000 [2 per cell]
Ta 0.500 0.237 0.577 [4 per cell]
Re 0.000 0.000 0.695 [2 per cell]
Re 0.000 0.162 0.319 [4 per cell]
B 0.500 0.000 0.206 [2 per cell]
B 0.500 0.000 0.439 [2 per cell]
B 0.500 0.132 0.834 [4 per cell]

---

# 5
For TmCuPb, a DFT-relaxed cell (PBE, the Materials Project) gives the computed X-ray powder pattern in this record (CuKα).
No peak broadening, texture or thermal motion is included.

Most intense lines, 2θ from 10° to 90°, sorted by position:
| two_theta | I/Imax |
| --- | --- |
| 25.42 | 41 |
| 33.21 | 100 |
| 39.10 | 77 |
| 43.46 | 24 |
| 52.21 | 28 |
| 59.87 | 9 |
| 65.07 | 19 |
| 67.12 | 27 |
| 70.85 | 13 |
| 73.86 | 10 |

Cell and atoms:
Lattice parameters (Å, degrees): 4.6073 4.6073 7.3240 90.00 90.00 120.00
Space group P6_3mc (No. 186)
Inequivalent atoms, fractional coordinates:
Tm 0.0000 0.0000 0.0000 [2 per cell]
Cu 0.3333 0.6667 0.1742 [2 per cell]
Pb 0.3333 0.6667 0.7718 [2 per cell]